(1)
Ba2HoMgNbO6: calculated X-ray diffraction stick pattern (CuKα), based on a PBE-relaxed structure.

Principal peaks in the range 5° ≤ 2θ ≤ 70°, sorted by position:
2θ/deg	Rel. int.
17.66	16
28.22	100
28.45	43
29.90	38
32.31	28
41.75	47
44.36	12
44.60	22
50.24	21
52.06	19

```
Ba2HoMgNbO6
1.0
-2.988 3.137 4.632
2.988 -3.137 4.632
2.988 3.137 -4.632
Ba Ho Mg Nb O
2 1 1 1 6
Cartesian
0.000 0.000 1.749
0.000 0.000 7.515
0.000 3.137 0.000
0.000 0.000 4.632
2.988 0.000 0.000
2.988 0.000 2.171
1.613 1.642 0.000
4.363 1.642 0.000
-1.375 1.496 4.632
1.375 1.496 4.632
0.000 3.137 2.462
```



(2)
Ba2HoMgRuO6: calculated X-ray diffraction stick pattern (CuKα), based on a PBE-relaxed structure.

Principal peaks in the range 5° ≤ 2θ ≤ 70°, sorted by position:
2θ/deg	Rel. int.
20.16	15
27.34	15
27.59	29
29.90	100
31.88	22
40.98	19
44.59	12
44.80	12
53.09	20
62.13	18

```
Ba2HoMgRuO6
1.0
5.180 -2.986 0.000
5.180 2.986 0.000
-3.519 0.000 5.547
Ba Ho Mg Ru O
2 1 1 1 6
Cartesian
0.000 0.000 0.000
3.393 0.000 3.554
3.448 0.000 0.091
-0.069 0.000 2.861
6.882 0.000 2.393
0.798 1.472 3.721
2.563 1.556 1.215
-1.750 0.000 3.764
0.798 -1.472 3.721
5.252 0.000 1.187
2.563 -1.556 1.215
```



(3)
Ba2HoMgRuO6: calculated X-ray diffraction stick pattern (CuKα), based on a PBE-relaxed structure.

Principal peaks in the range 5° ≤ 2θ ≤ 70°, sorted by position:
2θ/deg	Rel. int.
17.82	13
28.55	100
29.30	40
30.26	37
32.54	25
42.62	44
45.03	19
51.49	20
52.71	19
59.10	12

```
Ba2HoMgRuO6
1.0
-2.953 3.049 4.625
2.953 -3.049 4.625
2.953 3.049 -4.625
Ba Ho Mg Ru O
2 1 1 1 6
Cartesian
0.000 0.000 1.760
0.000 0.000 7.490
0.000 3.049 0.000
0.000 0.000 4.625
2.953 0.000 0.000
2.953 0.000 2.189
1.593 1.568 0.000
4.313 1.568 0.000
-1.360 1.481 4.625
1.360 1.481 4.625
0.000 3.049 2.436
```



(4)
Ba2HoMgRuO6: calculated X-ray diffraction stick pattern (CuKα), based on a PBE-relaxed structure.

Principal peaks in the range 5° ≤ 2θ ≤ 70°, sorted by position:
2θ/deg	Rel. int.
27.41	68
30.07	100
31.80	33
41.13	39
44.45	18
51.78	25
53.39	20
54.50	14
58.38	18
62.50	18

```
Ba2HoMgRuO6
1.0
5.147 -2.973 0.000
5.147 2.973 0.000
-3.427 0.000 5.600
Ba Ho Mg Ru O
2 1 1 1 6
Cartesian
0.000 0.000 0.000
3.435 0.000 3.545
6.867 0.000 1.444
3.428 0.000 0.665
0.007 0.000 3.776
5.963 -1.578 2.604
5.963 1.578 2.604
1.690 0.000 5.388
4.308 1.512 5.381
4.308 -1.512 5.381
8.695 0.000 2.593
```



(5)
Ba2HoMgRuO6: calculated X-ray diffraction stick pattern (CuKα), based on a PBE-relaxed structure.

Principal peaks in the range 5° ≤ 2θ ≤ 70°, sorted by position:
2θ/deg	Rel. int.
20.13	16
27.19	15
27.67	29
29.93	100
31.81	21
32.27	21
40.91	19
44.62	20
45.00	13
53.19	13

```
Ba2HoMgRuO6
1.0
5.181 -2.980 0.000
5.181 2.980 0.000
-3.575 0.000 5.550
Ba Ho Mg Ru O
2 1 1 1 6
Cartesian
0.000 0.000 0.000
3.343 0.000 3.514
3.438 0.000 0.075
-0.127 0.000 2.856
6.856 0.000 2.388
0.750 1.473 3.705
-1.795 0.000 3.782
2.563 1.553 1.217
0.750 -1.473 3.705
5.239 0.000 1.173
2.563 -1.553 1.217
```



(6)
Ba2HoMgSbO6: calculated X-ray diffraction stick pattern (CuKα), based on a PBE-relaxed structure.

Principal peaks in the range 5° ≤ 2θ ≤ 70°, sorted by position:
2θ/deg	Rel. int.
14.21	35
25.13	19
28.27	100
28.87	38
29.06	20
31.83	15
38.06	14
41.00	16
50.04	21
58.44	13

```
Ba2HoMgSbO6
1.0
5.473 -3.155 0.000
5.473 3.155 0.000
-3.710 0.000 6.231
Ba Ho Mg Sb O
2 1 1 1 6
Cartesian
0.000 0.000 0.000
3.613 0.000 4.900
3.661 0.000 0.205
-0.066 0.000 3.749
7.298 0.000 2.260
2.695 1.724 1.147
0.755 1.437 4.721
-1.707 0.000 4.747
0.755 -1.437 4.721
5.682 0.000 1.061
2.695 -1.724 1.147
```



(7)
Ba2HoMgSbO6: calculated X-ray diffraction stick pattern (CuKα), based on a PBE-relaxed structure.

Principal peaks in the range 5° ≤ 2θ ≤ 70°, sorted by position:
2θ/deg	Rel. int.
18.80	50
24.63	27
28.27	48
28.65	100
36.35	25
38.13	19
40.13	28
50.51	20
50.75	21
59.32	18

```
Ba2HoMgSbO6
1.0
5.397 -3.116 0.000
5.397 3.116 0.000
-3.600 0.000 6.488
Ba Ho Mg Sb O
2 1 1 1 6
Cartesian
0.000 0.000 0.000
3.597 0.000 4.183
7.198 0.000 1.154
-0.001 0.000 6.231
0.002 0.000 3.351
6.244 1.661 2.354
1.904 0.000 6.145
4.444 1.466 6.143
4.444 -1.466 6.143
9.120 0.000 2.344
6.244 -1.661 2.354
```



(8)
Ba2HoMgSbO6: calculated X-ray diffraction stick pattern (CuKα), based on a PBE-relaxed structure.

Principal peaks in the range 5° ≤ 2θ ≤ 70°, sorted by position:
2θ/deg	Rel. int.
27.17	100
28.52	36
29.11	34
30.60	19
36.26	13
41.20	41
42.74	14
49.68	20
50.42	19
56.03	14

```
Ba2HoMgSbO6
1.0
-3.068 3.130 4.955
3.068 -3.130 4.955
3.068 3.130 -4.955
Ba Ho Mg Sb O
2 1 1 1 6
Cartesian
0.000 0.000 1.914
0.000 0.000 7.996
0.000 3.130 0.000
0.000 0.000 4.955
3.068 0.000 0.000
3.068 0.000 2.569
1.629 1.677 0.000
1.439 -1.453 4.955
1.629 4.583 0.000
1.439 1.453 4.955
0.000 3.130 2.386
```



(9)
Ba2HoNbO6: calculated X-ray diffraction stick pattern (CuKα), based on a PBE-relaxed structure.

Principal peaks in the range 5° ≤ 2θ ≤ 70°, sorted by position:
2θ/deg	Rel. int.
17.99	3
29.59	100
34.85	3
36.45	2
42.34	30
46.35	2
52.50	41
55.95	1
61.42	19
69.64	18

```
Ba2HoNbO6
1.0
0.000 4.270 4.270
4.270 0.000 4.270
4.270 4.270 0.000
Ba Ho Nb O
2 1 1 6
Cartesian
2.135 2.135 2.135
6.404 6.404 6.404
0.000 0.000 0.000
4.270 4.270 4.270
4.270 4.270 2.242
4.270 2.242 4.270
6.297 4.270 4.270
2.242 4.270 4.270
4.270 6.297 4.270
4.270 4.270 6.297
```



(10)
Ba3Ho4O9: calculated X-ray diffraction stick pattern (CuKα), based on a PBE-relaxed structure.

Principal peaks in the range 5° ≤ 2θ ≤ 70°, sorted by position:
2θ/deg	Rel. int.
18.11	13
29.15	100
29.73	80
42.13	42
43.49	18
51.69	23
52.05	35
60.45	16
61.78	12
68.80	15

```
Ba3Ho4O9
1.0
3.063 1.768 8.508
-3.063 1.768 8.508
0.000 -3.537 8.508
Ba Ho O
3 4 9
Cartesian
0.000 0.000 0.000
0.000 0.000 4.227
0.000 0.000 14.745
0.000 0.000 7.695
0.000 0.000 10.887
0.000 0.000 18.870
0.000 0.000 22.079
-0.367 -1.760 6.373
-1.656 -0.508 9.222
-1.742 -0.645 12.086
-1.340 1.198 6.373
1.268 -1.180 9.222
1.708 0.562 6.373
0.388 1.688 9.222
1.430 -1.186 12.086
0.312 1.832 12.086
```



(11)
BaHo2O4: calculated X-ray diffraction stick pattern (CuKα), based on a PBE-relaxed structure.

Principal peaks in the range 5° ≤ 2θ ≤ 70°, sorted by position:
2θ/deg	Rel. int.
22.89	100
27.08	39
27.38	39
31.40	89
43.25	21
43.83	41
45.79	20
45.98	21
49.77	24
50.25	23

```
BaHo2O4
1.0
6.622 0.000 0.000
0.000 3.192 0.000
-2.153 0.000 6.357
Ba Ho O
1 2 4
Cartesian
0.000 0.000 0.000
1.074 1.596 4.046
3.391 1.596 2.315
0.011 0.000 4.979
1.434 0.000 2.169
3.012 0.000 4.179
4.543 0.000 1.500
```



(12)
BaHo2O4: calculated X-ray diffraction stick pattern (CuKα), based on a PBE-relaxed structure.

Principal peaks in the range 5° ≤ 2θ ≤ 70°, sorted by position:
2θ/deg	Rel. int.
29.37	46
29.49	97
30.92	100
35.13	16
43.19	28
43.30	20
52.17	15
52.85	15
53.22	33
61.66	39

```
BaHo2O4
1.0
10.478 0.000 0.000
0.000 3.465 0.000
0.000 0.000 12.162
Ba Ho O
4 8 16
Cartesian
2.585 0.866 1.813
2.653 2.598 7.894
7.824 0.866 4.268
7.892 2.598 10.349
0.769 0.866 4.734
0.813 0.866 10.838
4.426 2.598 4.757
4.470 2.598 10.815
6.007 0.866 1.347
6.051 0.866 7.405
9.665 2.598 1.324
9.709 2.598 7.428
0.198 2.598 9.520
0.732 0.866 6.980
1.199 2.598 0.220
2.194 2.598 4.168
3.045 0.866 10.249
4.040 0.866 6.301
4.507 2.598 0.899
5.041 0.866 3.439
5.437 2.598 8.723
5.971 0.866 11.263
6.438 2.598 5.861
7.433 2.598 1.913
8.284 0.866 7.995
9.279 0.866 11.942
9.746 2.598 5.182
10.279 0.866 2.642
```



Which formula does entry 8 have?
Ba2HoMgSbO6